Simulated XRD peak list
Compound: NpCuPt6
Radiation: Cu Kα X-rays
Structure: a crystal structure in Alexandria, relaxed with PBE
Intensities are scaled so that the largest is 100.

Structural model:
```
NpCuPt6
1.0
4.0638 0.0000 0.0000
0.0000 4.0638 0.0000
0.0000 0.0000 7.9393
Np Cu Pt
1 1 6
Direct
0.0000 0.0000 0.0000 Np
0.0000 0.0000 0.5000 Cu
0.0000 0.5000 0.2613 Pt
0.0000 0.5000 0.7387 Pt
0.5000 0.0000 0.2613 Pt
0.5000 0.0000 0.7387 Pt
0.5000 0.5000 0.0000 Pt
0.5000 0.5000 0.5000 Pt
```

Main lines, in order of rising 2θ (10 to 80 degrees two-theta):
Position (°2θ), Rel. int.
11.14, 2.5
24.61, 3.9
33.16, 3.4
38.68, 100.0
44.59, 34.0
45.71, 15.2
64.90, 11.3
65.77, 20.7
78.18, 26.4
79.79, 11.5

---

Simulated XRD peak list
Compound: LaPmH8Rh2
Radiation: Cu Kα X-rays
Structure: a crystal structure in Alexandria, relaxed with PBE
Intensities are scaled so that the largest is 100.

Structural model:
```
LaPmH8Rh2
1.0
2.4561 1.4180 6.1418
-2.4561 1.4180 6.1418
0.0000 -2.8361 6.1418
La Pm H Rh
1 1 8 2
Direct
0.0000 0.0000 0.0000 La
0.5000 0.5000 0.5000 Pm
0.0194 0.0318 0.6132 H
0.0318 0.6132 0.0194 H
0.3217 0.3217 0.3217 H
0.3868 0.9806 0.9682 H
0.6132 0.0194 0.0318 H
0.6783 0.6783 0.6783 H
0.9682 0.3868 0.9806 H
0.9806 0.9682 0.3868 H
0.2336 0.2336 0.2336 Rh
0.7664 0.7664 0.7664 Rh
```

Main lines, in order of rising 2θ (10 to 80 degrees two-theta):
Position (°2θ), Rel. int.
28.56, 100.0
36.59, 56.5
44.75, 23.8
47.06, 25.6
59.12, 10.1
61.04, 23.4
65.87, 9.9
71.57, 11.5
72.62, 7.7
77.77, 6.6

---

Simulated XRD peak list
Compound: TeAuI2
Radiation: Cu Kα X-rays
Structure: a crystal structure in Alexandria, relaxed with PBE
Intensities are scaled so that the largest is 100.

Structural model:
```
TeAuI2
1.0
13.0946 0.0000 0.0000
0.0000 5.7440 0.0000
0.0000 0.0000 11.5026
Te Au I
4 4 8
Direct
0.0292 0.2500 0.0205 Te
0.4708 0.7500 0.5205 Te
0.5292 0.2500 0.4795 Te
0.9708 0.7500 0.9795 Te
0.0000 0.0000 0.5000 Au
0.0000 0.5000 0.5000 Au
0.5000 0.0000 0.0000 Au
0.5000 0.5000 0.0000 Au
0.1110 0.7500 0.8031 I
0.1458 0.7500 0.4034 I
0.3542 0.2500 0.9034 I
0.3890 0.2500 0.3031 I
0.6110 0.7500 0.6969 I
0.6458 0.7500 0.0966 I
0.8542 0.2500 0.5966 I
0.8890 0.2500 0.1969 I
```

Main lines, in order of rising 2θ (10 to 80 degrees two-theta):
Position (°2θ), Rel. int.
10.24, 40.9
13.52, 97.5
15.41, 54.8
20.56, 100.0
22.91, 34.7
31.44, 37.2
32.86, 43.2
38.32, 49.0
44.54, 35.4
51.36, 32.8